Starting from a structure optimized by DFT (PBE+U), the X-ray diffraction stick pattern of TlV3Cu5O13 was computed for Cu Kα X-rays.

Most intense lines, 2θ = 5–70°, by angle:
6.190 Å, rel. 29.9, hkl 0 1 1; 3.100 Å, rel. 64.1, hkl 2 0 0; 3.079 Å, rel. 33.7, hkl 1 2 -2; 3.051 Å, rel. 24.6, hkl 1 0 3; 3.030 Å, rel. 33.3, hkl 1 -2 2; 2.882 Å, rel. 67.3, hkl -1 1 3; 2.754 Å, rel. 100.0, hkl 1 1 3; 2.679 Å, rel. 28.7, hkl 0 1 -4; 2.419 Å, rel. 27.5, hkl -2 2 1; 2.078 Å, rel. 24.6, hkl 0 4 -1

Crystal structure
a b c (Å): 6.2118 8.3250 10.9424
angles (deg): 97.40 92.96 90.71
Space group P-1 (No. 2)
Inequivalent atoms, fractional coordinates:
Tl1 0.2492 0.0272 0.4081 x2
V1 0.2383 0.6211 0.4944 x2
V2 0.2570 0.9733 0.7929 x2
V3 0.2607 0.6790 0.1220 x2
Cu1 0.0033 0.6056 0.7736 x2
Cu2 0.2284 0.1043 0.1069 x2
Cu3 0.2535 0.3118 0.6529 x2
Cu4 0.2692 0.3551 0.9429 x2
Cu5 0.4936 0.3923 0.2313 x2
O1 0.0002 0.2789 0.5366 x2
O2 0.0225 0.6158 0.1868 x2
O3 0.0238 0.8429 0.7821 x2
O4 0.2321 0.3418 0.1203 x2
O5 0.2372 0.8807 0.1179 x2
O6 0.2423 0.5538 0.6598 x2
O7 0.2518 0.0816 0.6692 x2
O8 0.2615 0.4611 0.3830 x2
O9 0.2710 0.1175 0.9273 x2
O10 0.2743 0.5888 0.9698 x2
O11 0.4473 0.7504 0.4819 x2
O12 0.4772 0.8450 0.7842 x2
O13 0.4847 0.3695 0.7981 x2